For Mg2BOs, the PBE geometry in OQMD gives the theoretical powder XRD pattern in this record (Cu Kα, 1.54184 Å).
Lines closer than 0.1° are merged.

Atomic structure:
a b c (Å): 4.219 4.219 4.219
angles (deg): 60.00 60.00 60.00
Fractional positions:
Mg1 0.000 0.000 0.000
Mg2 0.250 0.250 0.250
B1 0.500 0.500 0.500
Os1 0.750 0.750 0.750

Main lines, most intense first (15° ≤ 2θ ≤ 90°):
two_theta  I/Imax
25.86  1000
42.87  916
29.95  632
50.75  498
78.54  307
70.60  230
68.56  206
53.18  177
84.35  162
62.24  151